Entry 1:
Diffraction record for Y3Er2Tm2Ni2Te2. The X-ray diffraction stick pattern is computed, not measured: it uses a cell relaxed with PBE and Cu Kα X-rays.
Kinematic intensities with the Lorentz-polarization factor, no thermal factor.

Structure:
```
Y3Er2Tm2Ni2Te2
1.0
-1.926 7.770 4.749
1.926 -7.770 4.749
1.926 7.770 -4.749
Y Er Tm Ni Te
3 2 2 2 2
Cartesian
0.000 0.000 0.000 Y
0.000 5.483 2.533 Y
0.000 10.057 2.533 Y
1.926 5.699 -0.800 Er
0.000 2.070 3.949 Er
1.926 2.877 1.134 Tm
0.000 4.893 5.883 Tm
1.926 -4.052 4.079 Ni
1.926 4.052 4.079 Ni
1.926 0.000 2.511 Te
0.000 0.000 6.278 Te
```

Main lines, low angle first (2θ = 10–90°):
- 2θ = 10.92°, intensity 18
- 2θ = 24.95°, intensity 36
- 2θ = 30.26°, intensity 23
- 2θ = 30.43°, intensity 40
- 2θ = 33.16°, intensity 81
- 2θ = 34.11°, intensity 98
- 2θ = 34.63°, intensity 100
- 2θ = 36.75°, intensity 18
- 2θ = 38.59°, intensity 23
- 2θ = 47.20°, intensity 33
- 2θ = 58.89°, intensity 31
- 2θ = 65.55°, intensity 18



Entry 2:
Diffraction record for PrSmNi2As2. The X-ray diffraction stick pattern is computed, not measured: it uses a cell relaxed with PBE and Cu Kα X-rays.
Kinematic intensities with the Lorentz-polarization factor, no thermal factor.

Structure:
```
PrSmNi2As2
1.0
4.113 0.000 0.000
-2.057 3.562 0.000
0.000 0.000 8.069
Pr Sm Ni As
1 1 2 2
Cartesian
0.000 0.000 0.000 Pr
0.000 0.000 4.034 Sm
0.000 2.375 6.023 Ni
2.057 1.187 2.046 Ni
0.000 2.375 2.067 As
2.057 1.187 6.002 As
```

Main lines, low angle first (2θ = 10–90°):
- 2θ = 25.00°, intensity 12
- 2θ = 33.56°, intensity 100
- 2θ = 44.03°, intensity 41
- 2θ = 44.94°, intensity 13
- 2θ = 51.29°, intensity 2
- 2θ = 52.10°, intensity 4
- 2θ = 56.47°, intensity 22
- 2θ = 64.73°, intensity 25
- 2θ = 74.26°, intensity 19
- 2θ = 75.58°, intensity 9
- 2θ = 80.97°, intensity 7
- 2θ = 87.01°, intensity 2



Entry 3:
Diffraction record for BaCdSeO. The X-ray diffraction stick pattern is computed, not measured: it uses a cell relaxed with PBE and Cu Kα X-rays.
Kinematic intensities with the Lorentz-polarization factor, no thermal factor.

Structure:
```
BaCdSeO
1.0
7.176 0.000 0.000
0.000 7.219 0.000
0.000 0.000 7.555
Ba Cd Se O
4 4 4 4
Cartesian
1.095 0.682 2.454 Ba
2.493 6.536 6.231 Ba
4.683 2.927 5.101 Ba
6.080 4.291 1.324 Ba
0.936 3.558 4.417 Cd
2.651 3.660 0.640 Cd
4.524 0.051 3.138 Cd
6.239 7.168 6.915 Cd
0.728 2.469 6.822 Se
2.860 4.749 3.044 Se
4.316 1.140 0.733 Se
6.448 6.079 4.511 Se
0.555 6.181 0.537 O
3.033 1.037 4.315 O
4.143 4.647 7.018 O
6.621 2.572 3.240 O
```

Main lines, low angle first (2θ = 10–90°):
- 2θ = 24.67°, intensity 18
- 2θ = 26.64°, intensity 39
- 2θ = 27.39°, intensity 37
- 2θ = 27.77°, intensity 26
- 2θ = 29.45°, intensity 50
- 2θ = 30.21°, intensity 100
- 2θ = 36.66°, intensity 19
- 2θ = 37.29°, intensity 33
- 2θ = 37.86°, intensity 15
- 2θ = 41.34°, intensity 22
- 2θ = 45.75°, intensity 30
- 2θ = 50.90°, intensity 12



Entry 4:
Diffraction record for TbNdCu2N4. The X-ray diffraction stick pattern is computed, not measured: it uses a cell relaxed with PBE and Cu Kα X-rays.
Kinematic intensities with the Lorentz-polarization factor, no thermal factor.

Structure:
```
TbNdCu2N4
1.0
3.429 0.000 0.000
0.000 3.429 0.000
0.000 0.000 8.397
Tb Nd Cu N
1 1 2 4
Cartesian
0.000 0.000 0.000 Tb
1.715 1.715 3.335 Nd
0.000 1.715 5.893 Cu
1.715 0.000 5.893 Cu
0.000 0.000 4.590 N
0.000 1.715 1.592 N
1.715 0.000 1.592 N
1.715 1.715 7.156 N
```

Main lines, low angle first (2θ = 10–90°):
- 2θ = 28.11°, intensity 100
- 2θ = 31.98°, intensity 29
- 2θ = 33.75°, intensity 39
- 2θ = 38.65°, intensity 23
- 2θ = 41.65°, intensity 16
- 2θ = 43.08°, intensity 84
- 2θ = 51.01°, intensity 26
- 2θ = 53.44°, intensity 28
- 2θ = 61.46°, intensity 23
- 2θ = 63.64°, intensity 17
- 2θ = 67.89°, intensity 20
- 2θ = 77.00°, intensity 15



Entry 5:
Diffraction record for Cu2Ag3. The X-ray diffraction stick pattern is computed, not measured: it uses a cell relaxed with PBE and Cu Kα X-rays.
Kinematic intensities with the Lorentz-polarization factor, no thermal factor.

Structure:
```
Cu2Ag3
1.0
6.232 0.000 0.000
0.000 3.954 0.000
-0.070 0.000 6.319
Cu Ag
4 6
Cartesian
0.000 0.000 0.000 Cu
0.530 1.977 4.456 Cu
1.129 0.000 2.606 Cu
5.077 0.000 3.903 Cu
1.764 1.977 0.650 Ag
2.345 0.000 5.055 Ag
3.007 1.977 3.215 Ag
3.739 0.000 1.336 Ag
4.414 1.977 5.695 Ag
5.628 1.977 2.050 Ag
```

Main lines, low angle first (2θ = 10–90°):
- 2θ = 32.17°, intensity 3
- 2θ = 39.37°, intensity 100
- 2θ = 45.29°, intensity 16
- 2θ = 45.90°, intensity 16
- 2θ = 46.15°, intensity 15
- 2θ = 66.46°, intensity 10
- 2θ = 66.65°, intensity 9
- 2θ = 67.13°, intensity 9
- 2θ = 79.63°, intensity 11
- 2θ = 80.51°, intensity 11
- 2θ = 80.87°, intensity 10
- 2θ = 84.71°, intensity 9



Entry 6:
Diffraction record for Ta2Al11. The X-ray diffraction stick pattern is computed, not measured: it uses a cell relaxed with PBE and Cu Kα X-rays.
Kinematic intensities with the Lorentz-polarization factor, no thermal factor.

Structure:
```
Ta2Al11
1.0
2.582 1.491 9.428
-2.582 1.491 9.428
0.000 -2.981 9.428
Ta Al
2 11
Cartesian
0.000 0.000 1.352 Ta
0.000 0.000 26.931 Ta
-1.298 -0.749 11.898 Al
0.000 0.000 4.231 Al
0.000 0.000 9.472 Al
0.000 -1.499 16.385 Al
-1.298 0.749 16.385 Al
0.000 0.000 14.142 Al
1.298 -0.749 11.898 Al
0.000 1.499 11.898 Al
0.000 0.000 18.812 Al
0.000 0.000 24.053 Al
1.298 0.749 16.385 Al
```

Main lines, low angle first (2θ = 10–90°):
- 2θ = 20.10°, intensity 96
- 2θ = 20.83°, intensity 77
- 2θ = 34.74°, intensity 66
- 2θ = 36.07°, intensity 25
- 2θ = 37.63°, intensity 56
- 2θ = 40.47°, intensity 100
- 2θ = 40.86°, intensity 27
- 2θ = 45.46°, intensity 37
- 2θ = 46.41°, intensity 28
- 2θ = 64.19°, intensity 23
- 2θ = 66.16°, intensity 30
- 2θ = 87.27°, intensity 22



Entry 7:
Diffraction record for GdY2In3Co3. The X-ray diffraction stick pattern is computed, not measured: it uses a cell relaxed with PBE and Cu Kα X-rays.
Kinematic intensities with the Lorentz-polarization factor, no thermal factor.

Structure:
```
GdY2In3Co3
1.0
3.860 0.000 0.000
0.000 6.364 3.689
0.000 -6.364 3.689
Gd Y In Co
1 2 3 3
Cartesian
0.000 0.000 0.000 Gd
0.000 -2.603 2.839 Y
0.000 2.603 2.839 Y
1.930 0.000 2.489 In
1.930 -1.620 5.278 In
1.930 1.620 5.278 In
0.000 0.000 4.351 Co
1.930 -4.254 4.344 Co
1.930 4.254 4.344 Co
```

Main lines, low angle first (2θ = 10–90°):
- 2θ = 33.64°, intensity 100
- 2θ = 36.56°, intensity 73
- 2θ = 37.28°, intensity 43
- 2θ = 37.37°, intensity 15
- 2θ = 42.49°, intensity 15
- 2θ = 42.62°, intensity 10
- 2θ = 44.29°, intensity 15
- 2θ = 47.09°, intensity 22
- 2θ = 57.25°, intensity 11
- 2θ = 61.55°, intensity 26
- 2θ = 65.31°, intensity 13
- 2θ = 68.67°, intensity 16



Entry 8:
Diffraction record for Ho4PtAu3. The X-ray diffraction stick pattern is computed, not measured: it uses a cell relaxed with PBE and Cu Kα X-rays.
Kinematic intensities with the Lorentz-polarization factor, no thermal factor.

Structure:
```
Ho4PtAu3
1.0
3.718 0.000 0.000
0.000 4.624 0.000
0.000 0.000 10.736
Ho Pt Au
4 1 3
Cartesian
0.000 0.000 0.000 Ho
0.000 2.312 2.870 Ho
1.859 0.000 5.187 Ho
1.859 2.312 8.269 Ho
1.859 0.000 2.347 Pt
0.000 0.000 7.729 Au
0.000 2.312 5.817 Au
1.859 2.312 0.456 Au
```

Main lines, low angle first (2θ = 10–90°):
- 2θ = 31.99°, intensity 100
- 2θ = 33.38°, intensity 32
- 2θ = 38.79°, intensity 25
- 2θ = 38.95°, intensity 37
- 2θ = 40.04°, intensity 81
- 2θ = 49.00°, intensity 24
- 2θ = 52.22°, intensity 18
- 2θ = 64.29°, intensity 21
- 2θ = 66.20°, intensity 13
- 2θ = 71.28°, intensity 15
- 2θ = 74.41°, intensity 13
- 2θ = 79.26°, intensity 13



Entry 9:
Diffraction record for Li4Mg2HgPt. The X-ray diffraction stick pattern is computed, not measured: it uses a cell relaxed with PBE and Cu Kα X-rays.
Kinematic intensities with the Lorentz-polarization factor, no thermal factor.

Structure:
```
Li4Mg2HgPt
1.0
4.512 0.000 0.000
0.000 4.512 0.000
0.000 0.000 6.549
Li Mg Hg Pt
4 2 1 1
Cartesian
0.000 0.000 0.000 Li
0.000 2.256 1.536 Li
2.256 0.000 5.013 Li
2.256 2.256 3.274 Li
0.000 2.256 5.080 Mg
2.256 0.000 1.469 Mg
0.000 0.000 3.274 Hg
2.256 2.256 0.000 Pt
```

Main lines, low angle first (2θ = 10–90°):
- 2θ = 23.95°, intensity 100
- 2θ = 27.24°, intensity 15
- 2θ = 27.97°, intensity 27
- 2θ = 39.43°, intensity 40
- 2θ = 39.97°, intensity 20
- 2θ = 46.20°, intensity 18
- 2θ = 47.13°, intensity 34
- 2θ = 49.04°, intensity 12
- 2θ = 62.70°, intensity 15
- 2θ = 63.46°, intensity 7
- 2θ = 72.23°, intensity 14
- 2θ = 77.69°, intensity 8



Entry 10:
Diffraction record for Hf3ZrCo2. The X-ray diffraction stick pattern is computed, not measured: it uses a cell relaxed with PBE and Cu Kα X-rays.
Kinematic intensities with the Lorentz-polarization factor, no thermal factor.

Structure:
```
Hf3ZrCo2
1.0
0.000 4.451 4.401
2.764 0.000 4.401
2.764 4.451 0.000
Hf Zr Co
3 1 2
Cartesian
0.000 0.000 0.000 Hf
2.764 2.897 5.945 Hf
2.764 6.004 5.945 Hf
2.764 4.451 3.068 Zr
1.382 2.225 3.760 Co
4.146 6.676 8.160 Co
```

Main lines, low angle first (2θ = 10–90°):
- 2θ = 28.52°, intensity 24
- 2θ = 32.39°, intensity 35
- 2θ = 35.83°, intensity 100
- 2θ = 36.10°, intensity 79
- 2θ = 38.46°, intensity 19
- 2θ = 43.70°, intensity 61
- 2θ = 45.69°, intensity 18
- 2θ = 46.01°, intensity 19
- 2θ = 60.03°, intensity 23
- 2θ = 60.21°, intensity 18
- 2θ = 63.39°, intensity 27
- 2θ = 63.74°, intensity 24



Entry 11:
Diffraction record for Nb7Fe3B8. The X-ray diffraction stick pattern is computed, not measured: it uses a cell relaxed with PBE and Cu Kα X-rays.
Kinematic intensities with the Lorentz-polarization factor, no thermal factor.

Structure:
```
Nb7Fe3B8
1.0
8.360 0.000 0.000
-4.180 7.240 0.000
0.000 0.000 3.300
Nb Fe B
7 3 8
Cartesian
0.000 0.000 0.000 Nb
0.000 3.074 0.000 Nb
-1.518 5.703 0.000 Nb
2.662 1.537 0.000 Nb
1.518 5.703 0.000 Nb
5.698 1.537 0.000 Nb
4.180 4.166 0.000 Nb
-2.090 3.620 1.650 Fe
4.180 0.000 1.650 Fe
2.090 3.620 1.650 Fe
-0.913 1.582 1.650 B
-3.267 5.658 1.650 B
1.826 0.000 1.650 B
0.913 1.582 1.650 B
0.000 4.827 1.650 B
4.180 2.413 1.650 B
6.534 0.000 1.650 B
3.267 5.658 1.650 B
```

Main lines, low angle first (2θ = 10–90°):
- 2θ = 27.02°, intensity 20
- 2θ = 32.73°, intensity 47
- 2θ = 36.86°, intensity 25
- 2θ = 37.26°, intensity 7
- 2θ = 42.94°, intensity 100
- 2θ = 43.29°, intensity 15
- 2θ = 50.42°, intensity 12
- 2θ = 55.71°, intensity 12
- 2θ = 64.34°, intensity 9
- 2θ = 66.13°, intensity 12
- 2θ = 71.10°, intensity 15
- 2θ = 73.83°, intensity 16